LiHoSe2: theoretical X-ray powder pattern (Cu Ka), based on DFT lattice parameters and positions (PBE).
Intensities are scaled so that the largest is 100.

Structure:
Cell: 7.0397 7.0397 7.0397 Å, 132.51 132.51 69.42°
Atoms (fractional coordinates):
Li  0.3750  0.6250  0.7500
Li  0.6250  0.3750  0.2500
Ho  0.1250  0.8750  0.2500
Ho  0.8750  0.1250  0.7500
Se  0.1207  0.3707  0.7500
Se  0.3707  0.1207  0.2500
Se  0.6293  0.8793  0.7500
Se  0.8793  0.6293  0.2500

Most intense lines, 15° ≤ 2θ ≤ 90°, by angle:
| 2θ/deg | d_spacing | I/Imax |
| --- | --- | --- |
| 17.4 | 5.091 | 100 |
| 28.0 | 3.189 | 26 |
| 30.9 | 2.893 | 51 |
| 31.6 | 2.834 | 97 |
| 36.3 | 2.477 | 33 |
| 44.8 | 2.025 | 73 |
| 45.2 | 2.004 | 36 |
| 55.8 | 1.648 | 38 |

Na3GeSb3: theoretical X-ray powder pattern (Cu Ka), based on DFT lattice parameters and positions (PBE).
Intensities are scaled so that the largest is 100.

Structure:
Cell: 6.3002 6.3002 6.3002 Å, 108.66 108.66 108.66°
Atoms (fractional coordinates):
Na  0.1963  0.1963  0.6074
Na  0.1963  0.6074  0.1963
Na  0.6074  0.1963  0.1963
Ge  0.7330  0.7330  0.7330
Sb  0.1437  0.6937  0.6937
Sb  0.6937  0.1437  0.6937
Sb  0.6937  0.6937  0.1437

Most intense lines, 15° ≤ 2θ ≤ 90°, by angle:
| 2θ/deg | d_spacing | I/Imax |
| --- | --- | --- |
| 16.8 | 5.268 | 81 |
| 24.2 | 3.671 | 49 |
| 30.0 | 2.983 | 37 |
| 30.2 | 2.955 | 28 |
| 34.0 | 2.634 | 100 |
| 35.1 | 2.559 | 80 |
| 49.7 | 1.835 | 24 |
| 53.0 | 1.728 | 23 |

SrMn2Au: theoretical X-ray powder pattern (Cu Ka), based on DFT lattice parameters and positions (PBE).
Intensities are scaled so that the largest is 100.

Structure:
Cell: 6.1652 6.1652 6.1652 Å, 41.96 41.96 41.96°
Atoms (fractional coordinates):
Sr  0.0000  0.0000  0.0000
Mn  0.4860  0.4860  0.4860
Mn  0.8095  0.8095  0.8095
Au  0.2008  0.2008  0.2008

Most intense lines, 15° ≤ 2θ ≤ 90°, by angle:
| 2θ/deg | d_spacing | I/Imax |
| --- | --- | --- |
| 15.8 | 5.614 | 82 |
| 23.9 | 3.729 | 82 |
| 31.6 | 2.830 | 85 |
| 31.9 | 2.807 | 27 |
| 35.5 | 2.527 | 80 |
| 40.9 | 2.207 | 100 |
| 44.1 | 2.054 | 38 |
| 52.8 | 1.735 | 39 |

K2Na3Tl6: theoretical X-ray powder pattern (Cu Ka), based on DFT lattice parameters and positions (PBE).
Intensities are scaled so that the largest is 100.

Structure:
Cell: 10.1665 10.1665 3.8429 Å, 90.00 90.00 100.09°
Atoms (fractional coordinates):
K  0.2061  0.7939  0.0000
K  0.7939  0.2061  0.0000
Na  0.3047  0.3047  0.0000
Na  0.5000  0.5000  0.5000
Na  0.6953  0.6953  0.0000
Tl  0.1150  0.1150  0.5000
Tl  0.1277  0.4457  0.5000
Tl  0.4457  0.1277  0.5000
Tl  0.5543  0.8723  0.5000
Tl  0.8723  0.5543  0.5000
Tl  0.8850  0.8850  0.5000

Most intense lines, 15° ≤ 2θ ≤ 90°, by angle:
| 2θ/deg | d_spacing | I/Imax |
| --- | --- | --- |
| 23.1 | 3.843 | 94 |
| 26.7 | 3.340 | 100 |
| 26.9 | 3.312 | 52 |
| 29.3 | 3.048 | 41 |
| 29.7 | 3.008 | 82 |
| 34.5 | 2.598 | 45 |
| 35.6 | 2.521 | 89 |
| 42.0 | 2.152 | 44 |

Ru3Cl2: theoretical X-ray powder pattern (Cu Ka), based on DFT lattice parameters and positions (PBE).
Intensities are scaled so that the largest is 100.

Structure:
Cell: 7.0352 5.6014 7.5056 Å, 62.97 45.17 71.86°
Atoms (fractional coordinates):
Ru  0.0000  0.0000  0.0000
Ru  0.2500  0.2500  0.2500
Ru  0.2848  0.3322  0.8947
Ru  0.3322  0.2848  0.4884
Ru  0.3553  0.7616  0.9652
Ru  0.7616  0.3553  0.9178
Cl  0.2055  0.7440  0.3679
Cl  0.5674  0.8821  0.5060
Cl  0.7440  0.2055  0.6826
Cl  0.8821  0.5674  0.0445

Most intense lines, 15° ≤ 2θ ≤ 90°, by angle:
| 2θ/deg | d_spacing | I/Imax |
| --- | --- | --- |
| 17.8 | 4.989 | 100 |
| 35.9 | 2.502 | 24 |
| 36.0 | 2.494 | 48 |
| 40.2 | 2.244 | 44 |
| 40.7 | 2.218 | 28 |
| 51.5 | 1.775 | 25 |
| 52.0 | 1.759 | 16 |
| 55.3 | 1.662 | 25 |

Ho2ScCu: theoretical X-ray powder pattern (Cu Ka), based on DFT lattice parameters and positions (PBE).
Intensities are scaled so that the largest is 100.

Structure:
Cell: 3.5248 9.1282 6.3294 Å, 90.00 106.12 90.00°
Atoms (fractional coordinates):
Ho  0.1315  0.0592  0.2658
Ho  0.1315  0.4408  0.2658
Ho  0.8685  0.5592  0.7342
Ho  0.8685  0.9408  0.7342
Sc  0.4381  0.2500  0.8767
Sc  0.5619  0.7500  0.1233
Cu  0.2430  0.7500  0.4827
Cu  0.7570  0.2500  0.5173

Most intense lines, 15° ≤ 2θ ≤ 90°, by angle:
| 2θ/deg | d_spacing | I/Imax |
| --- | --- | --- |
| 26.3 | 3.385 | 31 |
| 29.4 | 3.040 | 22 |
| 32.9 | 2.720 | 100 |
| 33.7 | 2.660 | 42 |
| 35.1 | 2.554 | 29 |
| 35.5 | 2.530 | 40 |
| 39.8 | 2.263 | 46 |
| 62.8 | 1.479 | 18 |

Hg3Bi2Pb4: theoretical X-ray powder pattern (Cu Ka), based on DFT lattice parameters and positions (PBE).
Intensities are scaled so that the largest is 100.

Structure:
Cell: 3.4663 4.9723 16.6939 Å, 91.08 90.93 104.83°
Atoms (fractional coordinates):
Hg  0.0000  0.0000  0.0000
Hg  0.3478  0.2192  0.4535
Hg  0.6522  0.7808  0.5465
Bi  0.2984  0.8929  0.7754
Bi  0.7016  0.1071  0.2246
Pb  0.0276  0.6655  0.3426
Pb  0.3868  0.5551  0.1054
Pb  0.6132  0.4449  0.8946
Pb  0.9724  0.3345  0.6574

Most intense lines, 15° ≤ 2θ ≤ 90°, by angle:
| 2θ/deg | d_spacing | I/Imax |
| --- | --- | --- |
| 28.7 | 3.114 | 100 |
| 30.3 | 2.945 | 83 |
| 30.9 | 2.898 | 81 |
| 32.3 | 2.772 | 72 |
| 37.0 | 2.431 | 51 |
| 37.7 | 2.386 | 52 |
| 41.8 | 2.163 | 36 |
| 42.7 | 2.117 | 32 |

La8Ga3RuI4: theoretical X-ray powder pattern (Cu Ka), based on DFT lattice parameters and positions (PBE).
Intensities are scaled so that the largest is 100.

Structure:
Cell: 9.4158 9.4158 9.4158 Å, 56.23 56.23 56.23°
Atoms (fractional coordinates):
La  0.2393  0.2393  0.2393
La  0.2514  0.7224  0.7224
La  0.2776  0.2776  0.7486
La  0.2776  0.7486  0.2776
La  0.7224  0.2514  0.7224
La  0.7224  0.7224  0.2514
La  0.7486  0.2776  0.2776
La  0.7607  0.7607  0.7607
Ga  0.0000  0.0000  0.5000
Ga  0.0000  0.5000  0.0000
Ga  0.5000  0.0000  0.0000
Ru  0.5000  0.5000  0.5000
I  0.0000  0.0000  0.0000
I  0.0000  0.5000  0.5000
I  0.5000  0.0000  0.5000
I  0.5000  0.5000  0.0000

Most intense lines, 15° ≤ 2θ ≤ 90°, by angle:
| 2θ/deg | d_spacing | I/Imax |
| --- | --- | --- |
| 27.7 | 3.224 | 100 |
| 29.9 | 2.985 | 12 |
| 38.4 | 2.346 | 31 |
| 40.7 | 2.218 | 38 |
| 49.9 | 1.828 | 19 |
| 54.1 | 1.697 | 9 |
| 57.1 | 1.612 | 9 |
| 66.3 | 1.411 | 15 |